1.
Simulated XRD peak list
Compound: La2Ce3DyAs6
Radiation: Cu Kα (λ = 1.5418 Å)
Structure: a DFT-relaxed cell (PBE, Alexandria)
Lines closer than 0.1° are merged.

The 6 most intense peaks (2θ from 5° to 70°), low angle first:
Position (°2θ), intensity, hkl
25.6, 17, 2 0 2
29.7, 100, 6 0 0
42.5, 75, 0 2 0
52.7, 26, 6 2 0
61.6, 12, 2 2 -4
69.9, 34, 1 3 -2

```
data_La2Ce3DyAs6
_cell_length_a 18.554
_cell_length_b 4.256
_cell_length_c 8.520
_cell_angle_alpha 90.00
_cell_angle_beta 103.29
_cell_angle_gamma 90.00
_space_group_name_H-M_alt 'C 1 2/m 1'
_space_group_IT_number 12
_space_group_name_Hall '-C 2y'
loop_
_atom_site_label
_atom_site_fract_x
_atom_site_fract_y
_atom_site_fract_z
_atom_site_occupancy
La1 0.165 0.000 0.331 1
Ce1 0.000 0.500 0.500 1
Ce2 0.167 0.000 0.835 1
Dy1 0.000 0.500 0.000 1
As1 0.003 0.000 0.755 1
As2 0.165 0.500 0.075 1
As3 0.165 0.500 0.590 1
```

2.
Simulated XRD peak list
Compound: CaLaCeIn
Radiation: Cu Kα (λ = 1.5418 Å)
Structure: a DFT-relaxed cell (PBE, Alexandria)
Lines closer than 0.1° are merged.

The 6 most intense peaks (2θ from 5° to 70°), low angle first:
Position (°2θ), intensity, hkl
19.2, 6, 1 1 1
22.2, 8, 2 0 0
31.5, 100, 2 2 0
45.2, 18, 4 0 0
56.2, 38, 4 2 2
65.9, 12, 4 4 0

```
data_CaLaCeIn
_cell_length_a 8.023
_cell_length_b 8.023
_cell_length_c 8.023
_cell_angle_alpha 90.00
_cell_angle_beta 90.00
_cell_angle_gamma 90.00
_space_group_name_H-M_alt 'F -4 3 m'
_space_group_IT_number 216
_space_group_name_Hall 'F -4 2 3'
loop_
_atom_site_label
_atom_site_fract_x
_atom_site_fract_y
_atom_site_fract_z
_atom_site_occupancy
Ca1 0.000 0.000 0.000 1
La1 0.250 0.250 0.250 1
Ce1 0.250 0.250 0.750 1
In1 0.000 0.000 0.500 1
```